# 1
For Na2NiPCO7, DFT lattice parameters and positions (PBE+U) gives the theoretical X-ray powder pattern in this record (a wavelength of 1.5418 Å).

Structure:
```
data_Na2NiPCO7
_cell_length_a 9.012
_cell_length_b 6.517
_cell_length_c 10.366
_cell_angle_alpha 90.00
_cell_angle_beta 91.45
_cell_angle_gamma 90.00
_symmetry_space_group_name_H-M 'P 1 c 1'
_symmetry_Int_Tables_number 7
loop_
_symmetry_equiv_pos_as_xyz
'x,y,z'
'x,-y,z+1/2'
loop_
_atom_site_label
_atom_site_type_symbol
_atom_site_fract_x
_atom_site_fract_y
_atom_site_fract_z
Na1 Na 0.000 0.004 0.000
Na2 Na 0.177 0.230 0.267
Na3 Na 0.648 0.266 0.519
Na4 Na 0.649 0.269 0.021
Ni1 Ni 0.252 0.498 0.505
Ni2 Ni 0.562 0.003 0.784
P1 P 0.333 0.002 0.039
P2 P 0.484 0.499 0.754
C1 C 0.837 0.006 0.251
C2 C 0.981 0.496 0.537
O1 O 0.040 0.488 0.424
O2 O 0.080 0.496 0.131
O3 O 0.232 0.191 0.014
O4 O 0.235 0.185 0.498
O5 O 0.337 0.496 0.327
O6 O 0.371 0.001 0.687
O7 O 0.451 0.497 0.604
O8 O 0.480 0.006 0.966
O9 O 0.582 0.311 0.289
O10 O 0.582 0.312 0.791
O11 O 0.743 0.000 0.152
O12 O 0.776 0.001 0.364
O13 O 0.843 0.498 0.555
O14 O 0.976 0.017 0.238
```

Principal peaks in the range 2θ from 10° to 80°, in order of rising 2θ:
two_theta	I_rel
16.79	692
19.55	435
19.98	499
25.88	464
27.37	1000
33.86	415
33.96	348
34.13	608
34.62	576
37.62	356

---

# 2
For Ni2O3, DFT lattice parameters and positions (PBE+U) gives the theoretical X-ray powder pattern in this record (a wavelength of 1.5418 Å).

Structure:
```
data_Ni2O3
_cell_length_a 9.467
_cell_length_b 5.572
_cell_length_c 5.989
_cell_angle_alpha 90.00
_cell_angle_beta 123.09
_cell_angle_gamma 90.00
_symmetry_space_group_name_H-M 'C 1 c 1'
_symmetry_Int_Tables_number 9
loop_
_symmetry_equiv_pos_as_xyz
'x,y,z'
'x,-y,z+1/2'
'x+1/2,y+1/2,z'
'x+1/2,-y+1/2,z+1/2'
loop_
_atom_site_label
_atom_site_type_symbol
_atom_site_fract_x
_atom_site_fract_y
_atom_site_fract_z
Ni1 Ni 0.000 0.084 0.000
Ni2 Ni 0.343 0.093 0.009
O1 O 0.128 0.046 0.375
O2 O 0.315 0.403 0.907
O3 O 0.445 0.098 0.381
```

Principal peaks in the range 2θ from 10° to 80°, in order of rising 2θ:
two_theta	I_rel
19.47	1000
21.84	347
22.42	646
32.13	293
32.62	689
35.79	643
36.90	474
37.01	388
37.66	405
57.59	399

---

# 3
For KBaCeWO6, DFT lattice parameters and positions (PBE+U) gives the theoretical X-ray powder pattern in this record (a wavelength of 1.5418 Å).

Structure:
```
data_KBaCeWO6
_cell_length_a 8.589
_cell_length_b 8.589
_cell_length_c 8.589
_cell_angle_alpha 90.00
_cell_angle_beta 90.00
_cell_angle_gamma 90.00
_symmetry_space_group_name_H-M 'F -4 3 m'
_symmetry_Int_Tables_number 216
_symmetry_space_group_name_Hall 'F -4 2 3'
loop_
_atom_site_label
_atom_site_type_symbol
_atom_site_fract_x
_atom_site_fract_y
_atom_site_fract_z
K1 K 0.000 0.000 0.000
Ba1 Ba 0.000 0.000 0.500
Ce1 Ce 0.250 0.250 0.250
W1 W 0.250 0.250 0.750
O1 O 0.020 0.250 0.750
```

Principal peaks in the range 2θ from 10° to 80°, in order of rising 2θ:
two_theta	I_rel
17.89	113
20.68	188
29.41	1000
34.64	59
42.08	302
47.33	82
52.17	403
61.02	187
69.17	182
76.90	61